The following is a simulated powder diffractogram of WSeO5F. It was derived from a structure optimized by DFT (GGA+U), using Cu Kα (weighted mean of Kα1 and Kα2).
Lines closer than 0.1° are merged.

Main lines, in order of rising 2θ (2θ from 10° to 90°):
d (Å)	intensity
5.205	70
3.913	34
3.486	64
3.333	100
2.619	60
2.603	21
2.443	39
2.241	25
1.710	16
1.646	19

Structural model:
a b c (Å): 7.413 7.825 7.478
angles (deg): 90.00 109.88 90.00
Space group C2/c (No. 15)
Unique sites:
W: 0.000 0.000 0.000 (multiplicity 4)
Se: 0.000 0.373 0.250 (multiplicity 4)
O: 0.000 0.062 0.750 (multiplicity 4)
O: 0.094 0.230 0.113 (multiplicity 8)
O: 0.246 0.411 0.439 (multiplicity 8)
F: 0.000 0.388 0.750 (multiplicity 4)